Simulated powder XRD pattern
Compound: KCo4ClO6
Radiation: a wavelength of 1.5418 Å
Structure: a DFT-relaxed cell (PBE+U, OQMD)
Neutral-atom scattering factors, no anomalous dispersion.

The 10 most intense peaks (2θ = 5–70°), in order of rising 2θ:
- (1 0 0), 17.58 deg, d 5.045, I = 26
- (0 0 2), 25.24 deg, d 3.528, I = 36
- (1 1 0), 30.70 deg, d 2.912, I = 84
- (1 0 2), 30.93 deg, d 2.891, I = 100
- (1 1 2), 40.15 deg, d 2.246, I = 17
- (3 0 0), 54.58 deg, d 1.682, I = 15
- (2 1 2), 54.72 deg, d 1.677, I = 33
- (1 1 4), 61.45 deg, d 1.509, I = 17
- (2 2 0), 63.93 deg, d 1.456, I = 17
- (2 2 2), 69.88 deg, d 1.346, I = 9

Cell and atoms:
```
KCo4ClO6
1.0
5.825 0.000 0.000
-2.912 5.045 0.000
0.000 0.000 7.056
K Co Cl O
1 4 1 6
direct
0.000 0.000 0.000
0.333 0.667 0.272
0.333 0.667 0.728
0.667 0.333 0.272
0.667 0.333 0.728
0.000 0.000 0.500
0.000 0.500 0.210
0.000 0.500 0.790
0.500 0.000 0.210
0.500 0.000 0.790
0.500 0.500 0.210
0.500 0.500 0.790
```